For YNiH3SO7, a structure optimized by DFT (PBE+U) gives the calculated powder X-ray diffraction pattern in this record (Cu Kα (λ = 1.5418 Å)).
No peak broadening, texture or thermal motion is included.

Principal peaks in the range 2θ = 5–70°, sorted by position:
Position (°2θ)  d [Å]  I_rel
14.75  6.007  100
15.31  5.786  30
21.35  4.161  51
28.52  3.130  38
28.73  3.107  92
29.63  3.015  37
30.91  2.893  30
31.33  2.855  36
35.45  2.532  37
46.04  1.971  31
47.36  1.919  24
61.51  1.508  24

Crystal structure
Lattice parameters (Å, degrees): 6.9726 7.3685 10.3711 90.00 90.00 90.00
Positions (direct):
Y 0.2347 0.2500 0.1991
Y 0.2653 0.7500 0.6991
Y 0.7347 0.2500 0.3009
Y 0.7653 0.7500 0.8009
Ni 0.0000 0.0000 0.0000
Ni 0.0000 0.5000 0.0000
Ni 0.5000 0.0000 0.5000
Ni 0.5000 0.5000 0.5000
H 0.0287 0.0476 0.7606
H 0.0287 0.4524 0.7606
H 0.2303 0.2500 0.9282
H 0.2697 0.7500 0.4282
H 0.4713 0.5476 0.2606
H 0.4713 0.9524 0.2606
H 0.5287 0.0476 0.7394
H 0.5287 0.4524 0.7394
H 0.7303 0.2500 0.5718
H 0.7697 0.7500 0.0718
H 0.9713 0.5476 0.2394
H 0.9713 0.9524 0.2394
S 0.1214 0.2500 0.5528
S 0.3786 0.7500 0.0528
S 0.6214 0.2500 0.9472
S 0.8786 0.7500 0.4472
O 0.0405 0.7500 0.3552
O 0.0494 0.5664 0.8076
O 0.0494 0.9336 0.8076
O 0.0521 0.2500 0.4157
O 0.1249 0.2500 0.9913
O 0.2379 0.0841 0.5754
O 0.2379 0.4159 0.5754
O 0.2621 0.5841 0.0754
O 0.2621 0.9159 0.0754
O 0.3751 0.7500 0.4913
O 0.4479 0.7500 0.9157
O 0.4506 0.0664 0.3076
O 0.4506 0.4336 0.3076
O 0.4595 0.2500 0.8552
O 0.5405 0.7500 0.1448
O 0.5494 0.5664 0.6924
O 0.5494 0.9336 0.6924
O 0.5521 0.2500 0.0843
O 0.6249 0.2500 0.5087
O 0.7379 0.0841 0.9246
O 0.7379 0.4159 0.9246
O 0.7621 0.5841 0.4246
O 0.7621 0.9159 0.4246
O 0.8751 0.7500 0.0087
O 0.9479 0.7500 0.5843
O 0.9506 0.0664 0.1924
O 0.9506 0.4336 0.1924
O 0.9595 0.2500 0.6448

For Ni3H2Se3O10, a structure optimized by DFT (PBE+U) gives the calculated powder X-ray diffraction pattern in this record (Cu Kα (λ = 1.5418 Å)).
No peak broadening, texture or thermal motion is included.

Principal peaks in the range 2θ = 5–70°, sorted by position:
Position (°2θ)  d [Å]  I_rel
11.88  7.452  37
14.98  5.914  47
21.25  4.181  54
23.38  3.804  26
26.50  3.364  27
28.03  3.183  87
30.63  2.919  100
31.08  2.878  60
32.96  2.717  95
33.68  2.661  27
41.22  2.190  31
55.47  1.657  27

Crystal structure
Lattice parameters (Å, degrees): 8.0959 8.2211 8.5073 69.83 62.91 68.04
Positions (direct):
Ni 0.0000 0.0000 0.0000
Ni 0.1533 0.5369 0.3026
Ni 0.2100 0.3668 0.8908
Ni 0.5000 0.5000 0.5000
Ni 0.7900 0.6332 0.1092
Ni 0.8467 0.4631 0.6974
H 0.4388 0.3112 0.0955
H 0.4651 0.6236 0.8133
H 0.5349 0.3764 0.1867
H 0.5612 0.6888 0.9045
Se 0.0692 0.7364 0.7365
Se 0.2963 0.1682 0.5610
Se 0.3267 0.8298 0.2017
Se 0.6733 0.1702 0.7983
Se 0.7037 0.8318 0.4390
Se 0.9308 0.2636 0.2635
O 0.0360 0.4475 0.1704
O 0.0536 0.1895 0.0616
O 0.0942 0.3269 0.5249
O 0.1966 0.7859 0.1131
O 0.2071 0.0122 0.7433
O 0.2938 0.6034 0.7425
O 0.3049 0.6395 0.3799
O 0.3646 0.2882 0.6471
O 0.4125 0.3702 0.1936
O 0.4433 0.2278 0.9544
O 0.5567 0.7722 0.0456
O 0.5875 0.6298 0.8064
O 0.6354 0.7118 0.3529
O 0.6951 0.3605 0.6201
O 0.7062 0.3966 0.2575
O 0.7929 0.9878 0.2567
O 0.8034 0.2141 0.8869
O 0.9058 0.6731 0.4751
O 0.9464 0.8105 0.9384
O 0.9640 0.5525 0.8296

For NiH2SeO5, a structure optimized by DFT (PBE+U) gives the calculated powder X-ray diffraction pattern in this record (Cu Kα (λ = 1.5418 Å)).
No peak broadening, texture or thermal motion is included.

Principal peaks in the range 2θ = 5–70°, sorted by position:
Position (°2θ)  d [Å]  I_rel
18.09  4.903  17
18.42  4.816  100
24.99  3.563  75
25.72  3.464  61
26.55  3.357  64
27.79  3.211  17
35.34  2.540  30
40.01  2.253  40
43.68  2.072  21
45.88  1.978  25
51.29  1.781  17
61.15  1.516  21

Crystal structure
Lattice parameters (Å, degrees): 5.1671 5.1696 7.9648 71.97 71.94 87.94
Positions (direct):
Ni 0.0000 0.0000 0.0000
Ni 0.0000 0.0000 0.5000
H 0.2715 0.5072 0.0005
H 0.4925 0.7283 0.4997
H 0.5075 0.2717 0.5003
H 0.7285 0.4928 0.9995
Se 0.3093 0.6908 0.2500
Se 0.6907 0.3092 0.7500
O 0.0650 0.9338 0.2503
O 0.1747 0.6356 0.0668
O 0.2559 0.3656 0.3889
O 0.3642 0.8250 0.4333
O 0.3660 0.2527 0.8902
O 0.6340 0.7473 0.1098
O 0.6358 0.1750 0.5667
O 0.7441 0.6344 0.6111
O 0.8253 0.3644 0.9332
O 0.9350 0.0662 0.7497

For NiH2SeO5, a structure optimized by DFT (PBE+U) gives the calculated powder X-ray diffraction pattern in this record (Cu Kα (λ = 1.5418 Å)).
No peak broadening, texture or thermal motion is included.

Principal peaks in the range 2θ = 5–70°, sorted by position:
Position (°2θ)  d [Å]  I_rel
17.93  4.946  100
25.45  3.500  55
25.73  3.462  88
25.88  3.443  47
28.84  3.096  50
33.83  2.650  35
34.27  2.617  58
36.10  2.488  35
40.86  2.209  29
53.74  1.706  22
55.94  1.644  21
59.77  1.547  22

Crystal structure
Lattice parameters (Å, degrees): 5.3638 5.3638 7.6431 107.00 107.00 98.91
Positions (direct):
Ni 0.0000 0.5000 0.0000
Ni 0.5000 0.0000 0.5000
H 0.0282 0.1362 0.7016
H 0.1362 0.0282 0.2016
H 0.8638 0.9718 0.7984
H 0.9718 0.8638 0.2984
Se 0.4159 0.5841 0.7500
Se 0.5841 0.4159 0.2500
O 0.1272 0.8728 0.2500
O 0.2437 0.3108 0.1524
O 0.2905 0.6891 0.9253
O 0.3108 0.2437 0.6524
O 0.3109 0.7095 0.5747
O 0.6891 0.2905 0.4253
O 0.6892 0.7563 0.3476
O 0.7095 0.3109 0.0747
O 0.7563 0.6892 0.8476
O 0.8728 0.1272 0.7500

For NiH10Se2O10, a structure optimized by DFT (PBE+U) gives the calculated powder X-ray diffraction pattern in this record (Cu Kα (λ = 1.5418 Å)).
No peak broadening, texture or thermal motion is included.

Principal peaks in the range 2θ = 5–70°, sorted by position:
Position (°2θ)  d [Å]  I_rel
13.50  6.561  100
15.07  5.879  30
17.55  5.053  38
18.46  4.807  66
22.19  4.007  22
22.46  3.959  38
25.26  3.526  94
25.54  3.488  27
26.91  3.314  48
27.18  3.281  19
29.76  3.002  34
30.41  2.939  42

Crystal structure
Lattice parameters (Å, degrees): 8.1234 8.1234 12.1419 118.82 118.82 59.19
Positions (direct):
Ni 0.2065 0.7935 0.7500
Ni 0.7935 0.2065 0.2500
H 0.0948 0.4123 0.3541
H 0.1047 0.8537 0.1748
H 0.1463 0.8953 0.3252
H 0.2486 0.4506 0.8675
H 0.2566 0.6339 0.5422
H 0.3661 0.7434 0.9578
H 0.3966 0.4602 0.2007
H 0.4123 0.0948 0.8541
H 0.4506 0.2486 0.3675
H 0.4602 0.3966 0.7007
H 0.5398 0.6034 0.2993
H 0.5494 0.7514 0.6325
H 0.5877 0.9052 0.1459
H 0.6034 0.5398 0.7993
H 0.6339 0.2566 0.0422
H 0.7434 0.3661 0.4578
H 0.7514 0.5494 0.1325
H 0.8537 0.1047 0.6748
H 0.8953 0.1463 0.8252
H 0.9052 0.5877 0.6459
Se 0.1625 0.2624 0.6370
Se 0.2624 0.1625 0.1370
Se 0.7376 0.8375 0.8630
Se 0.8375 0.7376 0.3630
O 0.0533 0.5264 0.6551
O 0.0551 0.9449 0.2500
O 0.1631 0.7682 0.5728
O 0.2037 0.3667 0.1064
O 0.2318 0.8369 0.9272
O 0.2578 0.3099 0.8226
O 0.3099 0.2578 0.3226
O 0.3667 0.2037 0.6064
O 0.4663 0.5337 0.7500
O 0.4736 0.9467 0.8449
O 0.5264 0.0533 0.1551
O 0.5337 0.4663 0.2500
O 0.6333 0.7963 0.3936
O 0.6901 0.7422 0.6774
O 0.7422 0.6901 0.1774
O 0.7682 0.1631 0.0728
O 0.7963 0.6333 0.8936
O 0.8369 0.2318 0.4272
O 0.9449 0.0551 0.7500
O 0.9467 0.4736 0.3449

For NiH10Se2O10, a structure optimized by DFT (PBE+U) gives the calculated powder X-ray diffraction pattern in this record (Cu Kα (λ = 1.5418 Å)).
No peak broadening, texture or thermal motion is included.

Principal peaks in the range 2θ = 5–70°, sorted by position:
Position (°2θ)  d [Å]  I_rel
13.79  6.420  100
19.63  4.522  10
22.00  4.041  12
24.61  3.617  25
26.22  3.399  37
28.14  3.172  19
32.04  2.794  17
33.09  2.707  11
33.29  2.691  14
34.74  2.582  9
36.13  2.486  10
50.35  1.812  11

Crystal structure
Lattice parameters (Å, degrees): 8.2146 8.2146 10.9708 121.90 121.90 55.90
Positions (direct):
Ni 0.0341 0.9659 0.7500
Ni 0.9659 0.0341 0.2500
H 0.0476 0.5834 0.7683
H 0.2491 0.6298 0.1661
H 0.2624 0.3976 0.9375
H 0.2632 0.2936 0.0250
H 0.2936 0.2632 0.5250
H 0.3184 0.5694 0.6631
H 0.3702 0.7509 0.3339
H 0.3976 0.2624 0.4375
H 0.4166 0.9524 0.7317
H 0.4306 0.6816 0.8369
H 0.5694 0.3184 0.1631
H 0.5834 0.0476 0.2683
H 0.6024 0.7376 0.5625
H 0.6298 0.2491 0.6661
H 0.6816 0.4306 0.3369
H 0.7064 0.7368 0.4750
H 0.7368 0.7064 0.9750
H 0.7376 0.6024 0.0625
H 0.7509 0.3702 0.8339
H 0.9524 0.4166 0.2317
Se 0.0106 0.2552 0.6069
Se 0.2552 0.0106 0.1069
Se 0.7448 0.9894 0.8931
Se 0.9894 0.7448 0.3931
O 0.0592 0.1621 0.1837
O 0.1160 0.1731 0.4762
O 0.1383 0.4311 0.7613
O 0.1621 0.0592 0.6837
O 0.1731 0.1160 0.9762
O 0.2334 0.7666 0.2500
O 0.2987 0.7013 0.7500
O 0.3202 0.3849 0.0391
O 0.3849 0.3202 0.5391
O 0.4311 0.1383 0.2613
O 0.5689 0.8617 0.7387
O 0.6151 0.6798 0.4609
O 0.6798 0.6151 0.9609
O 0.7013 0.2987 0.2500
O 0.7666 0.2334 0.7500
O 0.8269 0.8840 0.0238
O 0.8379 0.9408 0.3163
O 0.8617 0.5689 0.2387
O 0.8840 0.8269 0.5238
O 0.9408 0.8379 0.8163

For V2NiH8O10, a structure optimized by DFT (PBE+U) gives the calculated powder X-ray diffraction pattern in this record (Cu Kα (λ = 1.5418 Å)).
No peak broadening, texture or thermal motion is included.

Principal peaks in the range 2θ = 5–70°, sorted by position:
Position (°2θ)  d [Å]  I_rel
11.40  7.760  100
13.99  6.329  11
15.79  5.613  20
19.77  4.491  28
22.46  3.958  11
22.92  3.880  25
28.17  3.168  27
29.52  3.026  26
30.26  2.953  17
31.60  2.832  13
33.69  2.660  10
45.27  2.003  12

Crystal structure
Lattice parameters (Å, degrees): 8.3840 8.3840 6.9223 107.16 107.16 71.72
Positions (direct):
V 0.0748 0.1343 0.1939
V 0.1343 0.0748 0.6939
V 0.8657 0.9252 0.3061
V 0.9252 0.8657 0.8061
Ni 0.0000 0.5000 0.0000
Ni 0.5000 0.0000 0.5000
H 0.1935 0.5636 0.6755
H 0.2289 0.3794 0.5335
H 0.2322 0.5344 0.3494
H 0.3250 0.4843 0.1640
H 0.3794 0.2289 0.0335
H 0.4364 0.8065 0.8245
H 0.4656 0.7678 0.1506
H 0.4843 0.3250 0.6640
H 0.5157 0.6750 0.3360
H 0.5344 0.2322 0.8494
H 0.5636 0.1935 0.1755
H 0.6206 0.7711 0.9665
H 0.6750 0.5157 0.8360
H 0.7678 0.4656 0.6506
H 0.7711 0.6206 0.4665
H 0.8065 0.4364 0.3245
O 0.0115 0.1056 0.4243
O 0.0280 0.6620 0.8299
O 0.1056 0.0115 0.9243
O 0.1367 0.2814 0.8207
O 0.2168 0.5511 0.2067
O 0.2670 0.4867 0.5791
O 0.2814 0.1367 0.3207
O 0.3380 0.9720 0.6701
O 0.4489 0.7832 0.2933
O 0.4867 0.2670 0.0791
O 0.5133 0.7330 0.9209
O 0.5511 0.2168 0.7067
O 0.6620 0.0280 0.3299
O 0.7186 0.8633 0.6793
O 0.7330 0.5133 0.4209
O 0.7832 0.4489 0.7933
O 0.8633 0.7186 0.1793
O 0.8944 0.9885 0.0757
O 0.9720 0.3380 0.1701
O 0.9885 0.8944 0.5757